# 1
Starting from a cell relaxed with PBE, the powder X-ray diffraction pattern of Li3CeCu8 was computed for Cu Kα.
No peak broadening, texture or thermal motion is included.

Peak list (10 most intense, 2θ from 5° to 70°, by angle)
h k l	d [Å]	Rel. int.
0 0 3	8.130	24
1 0 1	4.277	24
0 1 2	4.093	46
1 0 4	3.538	16
2 0 2	2.136	100
1 0 10	2.127	33
0 2 4	2.046	59
0 0 12	2.032	19
2 0 8	1.769	18
3 0 6	1.364	16

Crystal structure
abc: 5.0166 5.0166 24.3895
angles: 90.00 90.00 120.00
Space group R3m (No. 160, hexagonal axes)
Asymmetric unit:
Li 0.0000 0.0000 0.0000 (multiplicity 3)
Li 0.0000 0.0000 0.1141 (multiplicity 3)
Li 0.0000 0.0000 0.4810 (multiplicity 3)
Ce 0.0000 0.0000 0.6120 (multiplicity 3)
Cu 0.0000 0.0000 0.3006 (multiplicity 3)
Cu 0.0000 0.0000 0.7987 (multiplicity 3)
Cu 0.0028 0.5014 0.0514 (multiplicity 9)
Cu 0.1670 0.3341 0.8795 (multiplicity 9)



# 2
Starting from a cell relaxed with PBE, the powder X-ray diffraction pattern of Li3Ce3CuSe8 was computed for Cu Kα.
No peak broadening, texture or thermal motion is included.

Peak list (10 most intense, 2θ from 5° to 70°, by angle)
h k l	d [Å]	Rel. int.
2 0 -1	6.385	61
0 2 1	3.497	31
2 2 -2	2.861	100
4 0 0	2.817	45
2 0 -3	2.600	19
0 4 0	2.059	19
2 2 2	2.036	35
4 0 -4	1.989	17
6 2 -2	1.980	32
4 4 0	1.662	18

Crystal structure
abc: 13.552 8.235 7.963
angles: 90.00 123.76 90.00
Space group C2/m (No. 12)
Asymmetric unit:
Li 0.000 0.000 0.000 (multiplicity 2)
Li 0.250 0.250 0.500 (multiplicity 4)
Ce 0.000 0.500 0.500 (multiplicity 2)
Ce 0.250 0.250 0.000 (multiplicity 4)
Cu 0.000 0.000 0.500 (multiplicity 2)
Se 0.002 0.247 0.255 (multiplicity 8)
Se 0.225 0.000 0.721 (multiplicity 4)
Se 0.243 0.000 0.251 (multiplicity 4)



# 3
Starting from a cell relaxed with PBE, the powder X-ray diffraction pattern of LiCe2CuSe5 was computed for Cu Kα.
No peak broadening, texture or thermal motion is included.

Peak list (10 most intense, 2θ from 5° to 70°, by angle)
h k l	d [Å]	Rel. int.
0 0 2	5.748	24
1 1 2	3.251	29
1 3 2	2.863	57
0 4 3	2.851	35
0 6 1	2.763	39
1 1 3	2.748	100
1 5 0	2.611	41
1 5 2	2.378	69
1 5 3	2.158	26
2 0 0	2.025	47

Crystal structure
abc: 4.052 17.077 11.497
angles: 90.00 90.00 90.00
Space group Cmc2_1 (No. 36)
Asymmetric unit:
Li 0.000 0.199 0.000 (multiplicity 4)
Ce 0.000 0.117 0.682 (multiplicity 4)
Ce 0.000 0.125 0.298 (multiplicity 4)
Cu 0.000 0.425 0.456 (multiplicity 4)
Se 0.000 0.038 0.056 (multiplicity 4)
Se 0.000 0.298 0.658 (multiplicity 4)
Se 0.000 0.306 0.335 (multiplicity 4)
Se 0.000 0.353 0.994 (multiplicity 4)
Se 0.000 0.498 0.275 (multiplicity 4)